1.
For Na2CuBr4, a crystal structure in Alexandria, relaxed with GGA-PBE gives the computed powder XRD pattern in this record (CuKα).
Lines closer than 0.1° are merged.

Crystal structure
a b c (Å): 8.0887 8.0887 8.4611
angles (deg): 105.87 105.87 115.28
Fractional coordinates of all 14 atoms:
Na 0.0777 0.9223 0.7500
Na 0.3288 0.6712 0.2500
Na 0.6712 0.3288 0.7500
Na 0.9223 0.0777 0.2500
Cu 0.3742 0.6258 0.7500
Cu 0.6258 0.3742 0.2500
Br 0.1331 0.6202 0.8681
Br 0.2514 0.2665 0.6328
Br 0.2665 0.2514 0.1328
Br 0.3798 0.8669 0.6319
Br 0.6202 0.1331 0.3681
Br 0.7335 0.7486 0.8672
Br 0.7486 0.7335 0.3672
Br 0.8669 0.3798 0.1319

Main lines, by intensity (2θ = 15–90°):
2θ (°), I_rel
21.99, 100
35.68, 44
27.29, 40
38.15, 38
37.40, 31
50.87, 26
26.08, 23
51.56, 18
32.29, 16
22.89, 16



2.
For Na2Cu2Br5, a crystal structure in Alexandria, relaxed with GGA-PBE gives the computed powder XRD pattern in this record (CuKα).
Lines closer than 0.1° are merged.

Crystal structure
a b c (Å): 10.3991 10.3991 10.3991
angles (deg): 59.28 138.53 139.61
Fractional coordinates of all 18 atoms:
Na 0.0348 0.1081 0.1429
Na 0.0348 0.3919 0.4268
Na 0.9652 0.6081 0.5732
Na 0.9652 0.8919 0.8571
Cu 0.3897 0.7260 0.1637
Cu 0.5557 0.0557 0.5000
Cu 0.5557 0.5557 0.0000
Cu 0.5623 0.2260 0.8363
Br 0.0182 0.3805 0.1377
Br 0.0600 0.3261 0.7809
Br 0.0600 0.7791 0.2339
Br 0.2427 0.8805 0.8623
Br 0.4995 0.2255 0.5600
Br 0.4995 0.4395 0.7740
Br 0.5452 0.2791 0.2191
Br 0.5452 0.8261 0.7661
Br 0.6655 0.7255 0.2260
Br 0.6655 0.9395 0.4400

Main lines, by intensity (2θ = 15–90°):
2θ (°), I_rel
17.25, 100
27.48, 98
34.90, 89
39.63, 55
26.72, 54
27.67, 53
34.50, 52
51.71, 49
31.45, 46
44.58, 42



3.
For Na2CuBr4, a crystal structure in Alexandria, relaxed with GGA-PBE gives the computed powder XRD pattern in this record (CuKα).
Lines closer than 0.1° are merged.

Crystal structure
a b c (Å): 7.0679 7.2368 8.1411
angles (deg): 90.00 106.58 90.00
Fractional coordinates of all 14 atoms:
Na 0.2277 0.2500 0.0568
Na 0.2302 0.2500 0.5560
Na 0.7698 0.7500 0.4440
Na 0.7723 0.7500 0.9432
Cu 0.2479 0.7500 0.8142
Cu 0.7521 0.2500 0.1858
Br 0.0082 0.5016 0.7505
Br 0.0082 0.9984 0.7505
Br 0.4439 0.7500 0.1073
Br 0.4466 0.7500 0.6189
Br 0.5534 0.2500 0.3811
Br 0.5561 0.2500 0.8927
Br 0.9918 0.0016 0.2495
Br 0.9918 0.4984 0.2495

Main lines, by intensity (2θ = 15–90°):
2θ (°), I_rel
27.96, 100
32.08, 78
47.49, 57
29.54, 45
33.80, 40
22.81, 38
53.39, 31
44.52, 28
48.27, 25
50.44, 19



4.
For NaPaCuBr6, a crystal structure in Alexandria, relaxed with GGA-PBE gives the computed powder XRD pattern in this record (CuKα).
Lines closer than 0.1° are merged.

Crystal structure
a b c (Å): 6.9583 6.9583 13.7208
angles (deg): 90.00 90.00 120.00
Fractional coordinates of all 18 atoms:
Na 0.0000 0.0000 0.0000
Na 0.0000 0.0000 0.5000
Pa 0.3333 0.6667 0.2500
Pa 0.6667 0.3333 0.7500
Cu 0.3333 0.6667 0.7500
Cu 0.6667 0.3333 0.2500
Br 0.0110 0.3567 0.6328
Br 0.0110 0.6543 0.8672
Br 0.3457 0.3567 0.8672
Br 0.3457 0.9890 0.6328
Br 0.3567 0.0110 0.1328
Br 0.3567 0.3457 0.3672
Br 0.6433 0.6543 0.6328
Br 0.6433 0.9890 0.8672
Br 0.6543 0.0110 0.3672
Br 0.6543 0.6433 0.1328
Br 0.9890 0.3457 0.1328
Br 0.9890 0.6433 0.3672

Main lines, by intensity (2θ = 15–90°):
2θ (°), I_rel
28.77, 100
36.80, 70
45.14, 38
19.61, 33
47.58, 29
16.06, 24
72.46, 17
59.59, 16
54.41, 15
77.78, 14



5.
For NaCuSbBr2, a crystal structure in Alexandria, relaxed with GGA-PBE gives the computed powder XRD pattern in this record (CuKα).
Lines closer than 0.1° are merged.

Crystal structure
a b c (Å): 6.0124 6.0124 4.7840
angles (deg): 90.00 90.00 90.00
Fractional coordinates of all 5 atoms:
Na 0.0000 0.0000 0.0000
Cu 0.5000 0.5000 0.0000
Sb 0.5000 0.5000 0.5000
Br 0.0000 0.5000 0.5000
Br 0.5000 0.0000 0.5000

Main lines, by intensity (2θ = 15–90°):
2θ (°), I_rel
29.72, 100
48.64, 49
18.55, 41
42.53, 37
35.26, 32
28.08, 31
58.05, 28
33.32, 28
37.60, 26
82.25, 22



6.
For Na3Tl3CuBr8, a crystal structure in Alexandria, relaxed with GGA-PBE gives the computed powder XRD pattern in this record (CuKα).
Lines closer than 0.1° are merged.

Crystal structure
a b c (Å): 9.2146 9.2146 9.2146
angles (deg): 56.11 56.11 56.11
Fractional coordinates of all 15 atoms:
Na 0.0000 0.5000 0.5000
Na 0.5000 0.0000 0.5000
Na 0.5000 0.5000 0.0000
Tl 0.0000 0.0000 0.5000
Tl 0.0000 0.5000 0.0000
Tl 0.5000 0.0000 0.0000
Cu 0.0000 0.0000 0.0000
Br 0.2109 0.2109 0.7711
Br 0.2109 0.7711 0.2109
Br 0.2289 0.7891 0.7891
Br 0.2619 0.2619 0.2619
Br 0.7381 0.7381 0.7381
Br 0.7711 0.2109 0.2109
Br 0.7891 0.2289 0.7891
Br 0.7891 0.7891 0.2289

Main lines, by intensity (2θ = 15–90°):
2θ (°), I_rel
28.32, 100
41.68, 35
39.25, 32
30.63, 29
24.02, 23
51.16, 17
55.38, 15
68.03, 13
34.78, 11
23.53, 10